(1)
For Pa2Ni5H5, a structure optimized by DFT (GGA-PBE) gives the calculated X-ray diffraction stick pattern in this record (Cu Ka).
Peak positions follow from Bragg's law for the DFT cell and can differ from measured ones.

Cell and atoms:
a b c (Å): 4.188 4.725 6.740
angles (deg): 90.00 103.77 90.00
Element x y z (fractional)
Pa1 0.000 0.000 0.000
Pa2 0.000 0.500 0.500
Ni1 0.457 0.245 0.304
Ni2 0.457 0.755 0.304
Ni3 0.500 0.500 0.000
Ni4 0.543 0.245 0.696
Ni5 0.543 0.755 0.696
H1 0.126 0.500 0.884
H2 0.242 0.000 0.716
H3 0.500 0.000 0.500
H4 0.758 0.000 0.284
H5 0.874 0.500 0.116

Most intense lines, 15° ≤ 2θ ≤ 90°, in order of falling intensity:
- 2θ = 29.72°, I = 1000
- 2θ = 23.22°, I = 956
- 2θ = 34.32°, I = 686
- 2θ = 47.46°, I = 530
- 2θ = 44.34°, I = 511
- 2θ = 30.72°, I = 489

(2)
For PaNiH6Pt, a structure optimized by DFT (GGA-PBE) gives the calculated X-ray diffraction stick pattern in this record (Cu Ka).
Peak positions follow from Bragg's law for the DFT cell and can differ from measured ones.

Cell and atoms:
a b c (Å): 4.502 4.502 4.214
angles (deg): 90.00 90.00 120.00
Element x y z (fractional)
Pa1 0.000 0.000 0.000
Ni1 0.333 0.667 0.500
H1 0.022 0.511 0.217
H2 0.022 0.511 0.783
H3 0.489 0.511 0.217
H4 0.489 0.511 0.783
H5 0.489 0.978 0.217
H6 0.489 0.978 0.783
Pt1 0.667 0.333 0.500

Most intense lines, 15° ≤ 2θ ≤ 90°, in order of falling intensity:
- 2θ = 31.25°, I = 1000
- 2θ = 40.05°, I = 434
- 2θ = 60.15°, I = 270
- 2θ = 51.66°, I = 253
- 2θ = 67.30°, I = 230
- 2θ = 22.81°, I = 159

(3)
For PaNiH8Rh4, a structure optimized by DFT (GGA-PBE) gives the calculated X-ray diffraction stick pattern in this record (Cu Ka).
Peak positions follow from Bragg's law for the DFT cell and can differ from measured ones.

Cell and atoms:
a b c (Å): 5.505 5.505 5.505
angles (deg): 63.08 63.08 63.08
Element x y z (fractional)
Pa1 0.000 0.000 0.000
Ni1 0.392 0.392 0.392
H1 0.169 0.613 0.613
H2 0.171 0.171 0.171
H3 0.185 0.185 0.531
H4 0.185 0.531 0.185
H5 0.531 0.185 0.185
H6 0.613 0.169 0.613
H7 0.613 0.613 0.169
H8 0.628 0.628 0.628
Rh1 0.391 0.391 0.882
Rh2 0.391 0.882 0.391
Rh3 0.811 0.811 0.811
Rh4 0.882 0.391 0.391

Most intense lines, 15° ≤ 2θ ≤ 90°, in order of falling intensity:
- 2θ = 38.64°, I = 1000
- 2θ = 36.68°, I = 672
- 2θ = 37.36°, I = 377
- 2θ = 31.06°, I = 325
- 2θ = 32.60°, I = 288
- 2θ = 60.40°, I = 278

(4)
For Pa2ZnNi12H3, a structure optimized by DFT (GGA-PBE) gives the calculated X-ray diffraction stick pattern in this record (Cu Ka).
Peak positions follow from Bragg's law for the DFT cell and can differ from measured ones.

Cell and atoms:
a b c (Å): 6.719 6.719 6.719
angles (deg): 58.56 58.56 58.56
Element x y z (fractional)
Pa1 0.098 0.098 0.098
Pa2 0.902 0.902 0.902
Zn1 0.500 0.500 0.500
Ni1 0.040 0.648 0.648
Ni2 0.224 0.224 0.601
Ni3 0.224 0.601 0.224
Ni4 0.352 0.352 0.960
Ni5 0.352 0.960 0.352
Ni6 0.399 0.776 0.776
Ni7 0.601 0.224 0.224
Ni8 0.648 0.040 0.648
Ni9 0.648 0.648 0.040
Ni10 0.776 0.399 0.776
Ni11 0.776 0.776 0.399
Ni12 0.960 0.352 0.352
H1 0.000 0.500 0.500
H2 0.500 0.000 0.500
H3 0.500 0.500 0.000

Most intense lines, 15° ≤ 2θ ≤ 90°, in order of falling intensity:
- 2θ = 41.77°, I = 1000
- 2θ = 43.45°, I = 572
- 2θ = 38.32°, I = 423
- 2θ = 27.14°, I = 416
- 2θ = 16.46°, I = 339
- 2θ = 31.90°, I = 313

(5)
For NiH2Pb, a structure optimized by DFT (GGA-PBE) gives the calculated X-ray diffraction stick pattern in this record (Cu Ka).
Peak positions follow from Bragg's law for the DFT cell and can differ from measured ones.

Cell and atoms:
a b c (Å): 4.889 4.848 10.243
angles (deg): 90.00 118.44 90.00
Element x y z (fractional)
Ni1 0.249 0.000 0.000
Ni2 0.249 0.500 0.500
Ni3 0.751 0.000 0.000
Ni4 0.751 0.500 0.500
H1 0.002 0.224 0.002
H2 0.002 0.276 0.502
H3 0.428 0.674 0.428
H4 0.428 0.826 0.928
H5 0.572 0.174 0.072
H6 0.572 0.326 0.572
H7 0.998 0.724 0.498
H8 0.998 0.776 0.998
Pb1 0.290 0.101 0.291
Pb2 0.290 0.399 0.791
Pb3 0.710 0.601 0.209
Pb4 0.710 0.899 0.709

Most intense lines, 15° ≤ 2θ ≤ 90°, in order of falling intensity:
- 2θ = 25.88°, I = 1000
- 2θ = 32.75°, I = 848
- 2θ = 27.74°, I = 842
- 2θ = 42.06°, I = 608
- 2θ = 54.27°, I = 597
- 2θ = 35.16°, I = 551

(6)
For Ni3HPb, a structure optimized by DFT (GGA-PBE) gives the calculated X-ray diffraction stick pattern in this record (Cu Ka).
Peak positions follow from Bragg's law for the DFT cell and can differ from measured ones.

Cell and atoms:
a b c (Å): 3.846 3.846 3.846
angles (deg): 90.00 90.00 90.00
Element x y z (fractional)
Ni1 0.000 0.000 0.500
Ni2 0.000 0.500 0.000
Ni3 0.500 0.000 0.000
H1 0.000 0.000 0.000
Pb1 0.500 0.500 0.500

Most intense lines, 15° ≤ 2θ ≤ 90°, in order of falling intensity:
- 2θ = 40.63°, I = 1000
- 2θ = 47.27°, I = 488
- 2θ = 23.13°, I = 366
- 2θ = 83.33°, I = 364
- 2θ = 32.93°, I = 329
- 2θ = 69.07°, I = 304

(7)
For NiH6PdPb2, a structure optimized by DFT (GGA-PBE) gives the calculated X-ray diffraction stick pattern in this record (Cu Ka).
Peak positions follow from Bragg's law for the DFT cell and can differ from measured ones.

Cell and atoms:
a b c (Å): 5.558 5.558 5.558
angles (deg): 125.98 125.98 79.91
Element x y z (fractional)
Ni1 0.000 0.000 0.000
H1 0.185 0.185 0.000
H2 0.244 0.244 0.486
H3 0.244 0.757 0.000
H4 0.757 0.244 0.000
H5 0.757 0.757 0.514
H6 0.815 0.815 0.000
Pd1 0.500 0.500 0.000
Pb1 0.252 0.752 0.500
Pb2 0.752 0.252 0.500

Most intense lines, 15° ≤ 2θ ≤ 90°, in order of falling intensity:
- 2θ = 32.73°, I = 1000
- 2θ = 35.57°, I = 400
- 2θ = 62.09°, I = 322
- 2θ = 56.53°, I = 212
- 2θ = 24.95°, I = 151
- 2θ = 51.18°, I = 147

(8)
For SrNiH6Pb, a structure optimized by DFT (GGA-PBE) gives the calculated X-ray diffraction stick pattern in this record (Cu Ka).
Peak positions follow from Bragg's law for the DFT cell and can differ from measured ones.

Cell and atoms:
a b c (Å): 5.168 5.168 5.096
angles (deg): 90.00 90.00 120.00
Element x y z (fractional)
Sr1 0.000 0.000 0.000
Ni1 0.333 0.667 0.000
H1 0.067 0.470 0.197
H2 0.067 0.597 0.803
H3 0.403 0.470 0.803
H4 0.403 0.933 0.197
H5 0.530 0.597 0.197
H6 0.530 0.933 0.803
Pb1 0.667 0.333 0.500

Most intense lines, 15° ≤ 2θ ≤ 90°, in order of falling intensity:
- 2θ = 26.51°, I = 1000
- 2θ = 34.72°, I = 399
- 2θ = 50.29°, I = 284
- 2θ = 44.20°, I = 258
- 2θ = 57.39°, I = 237
- 2θ = 19.84°, I = 194